Record 1
# CrFeP2O8
Computed X-ray diffraction stick pattern, copper Kα. Input: a cell relaxed with PBE+U.

Crystal structure
Cell lengths 8.394, 8.394, 8.394 Å; angles 61.67, 61.67, 61.67 degrees
Positions (direct):
1 Cr 0.000 0.000 0.000
2 Cr 0.143 0.143 0.143
3 Cr 0.502 0.502 0.502
4 Fe 0.354 0.354 0.354
5 Fe 0.648 0.648 0.648
6 Fe 0.855 0.855 0.855
7 P 0.051 0.751 0.453
8 P 0.251 0.547 0.953
9 P 0.453 0.051 0.751
10 P 0.547 0.953 0.251
11 P 0.751 0.453 0.051
12 P 0.953 0.251 0.547
13 O 0.007 0.826 0.607
14 O 0.064 0.908 0.249
15 O 0.095 0.751 0.941
16 O 0.107 0.326 0.507
17 O 0.181 0.391 0.994
18 O 0.249 0.064 0.908
19 O 0.254 0.596 0.439
20 O 0.326 0.507 0.107
21 O 0.391 0.994 0.181
22 O 0.407 0.564 0.749
23 O 0.439 0.254 0.596
24 O 0.493 0.896 0.679
25 O 0.507 0.107 0.326
26 O 0.564 0.749 0.407
27 O 0.596 0.439 0.254
28 O 0.607 0.007 0.826
29 O 0.679 0.493 0.896
30 O 0.749 0.407 0.564
31 O 0.751 0.941 0.095
32 O 0.826 0.607 0.007
33 O 0.896 0.679 0.493
34 O 0.908 0.249 0.064
35 O 0.941 0.095 0.751
36 O 0.994 0.181 0.391

The 10 most intense peaks (2θ = 15–90°), sorted by position:
- 2θ = 20.64°, rel. 80.4
- 2θ = 24.52°, rel. 100.0
- 2θ = 25.46°, rel. 13.4
- 2θ = 32.08°, rel. 14.9
- 2θ = 33.70°, rel. 67.9
- 2θ = 36.16°, rel. 39.9
- 2θ = 48.28°, rel. 26.1
- 2θ = 50.26°, rel. 27.0
- 2θ = 56.59°, rel. 21.9
- 2θ = 63.47°, rel. 22.2



Record 2
# CrFeP2O8
Computed X-ray diffraction stick pattern, copper Kα. Input: a cell relaxed with PBE+U.

Crystal structure
Cell lengths 4.837, 5.848, 9.965 Å; angles 90.00, 91.01, 90.00 degrees
Positions (direct):
1 Cr 0.028 0.250 0.272
2 Cr 0.972 0.750 0.728
3 Fe 0.469 0.250 0.771
4 Fe 0.531 0.750 0.229
5 P 0.090 0.750 0.408
6 P 0.420 0.750 0.905
7 P 0.580 0.250 0.095
8 P 0.910 0.250 0.592
9 O 0.170 0.750 0.556
10 O 0.223 0.250 0.615
11 O 0.234 0.545 0.331
12 O 0.234 0.955 0.331
13 O 0.267 0.547 0.827
14 O 0.267 0.953 0.827
15 O 0.269 0.250 0.114
16 O 0.348 0.750 0.053
17 O 0.652 0.250 0.947
18 O 0.731 0.750 0.886
19 O 0.733 0.047 0.173
20 O 0.733 0.453 0.173
21 O 0.766 0.045 0.669
22 O 0.766 0.455 0.669
23 O 0.777 0.750 0.385
24 O 0.830 0.250 0.444

The 10 most intense peaks (2θ = 15–90°), sorted by position:
- 2θ = 17.80°, rel. 93.6
- 2θ = 20.27°, rel. 65.4
- 2θ = 20.55°, rel. 56.7
- 2θ = 23.46°, rel. 39.5
- 2θ = 25.40°, rel. 63.9
- 2θ = 25.63°, rel. 65.1
- 2θ = 30.57°, rel. 100.0
- 2θ = 35.97°, rel. 74.7
- 2θ = 36.48°, rel. 70.5
- 2θ = 48.87°, rel. 28.6



Record 3
# CrFe5P6O24
Computed X-ray diffraction stick pattern, copper Kα. Input: a cell relaxed with PBE+U.

Crystal structure
Cell lengths 8.430, 8.430, 8.430 Å; angles 61.60, 61.60, 61.60 degrees
Positions (direct):
1 Cr 0.000 0.000 0.000
2 Fe 0.212 0.212 0.212
3 Fe 0.358 0.358 0.358
4 Fe 0.504 0.504 0.504
5 Fe 0.711 0.711 0.711
6 Fe 0.856 0.856 0.856
7 P 0.108 0.402 0.812
8 P 0.310 0.906 0.609
9 P 0.402 0.812 0.108
10 P 0.609 0.310 0.906
11 P 0.812 0.108 0.402
12 P 0.906 0.609 0.310
13 O 0.037 0.248 0.852
14 O 0.107 0.920 0.764
15 O 0.109 0.454 0.296
16 O 0.182 0.362 0.965
17 O 0.248 0.852 0.037
18 O 0.263 0.419 0.607
19 O 0.296 0.109 0.454
20 O 0.351 0.751 0.538
21 O 0.362 0.965 0.182
22 O 0.419 0.607 0.263
23 O 0.454 0.296 0.109
24 O 0.465 0.863 0.682
25 O 0.538 0.351 0.751
26 O 0.606 0.798 0.952
27 O 0.607 0.263 0.419
28 O 0.682 0.465 0.863
29 O 0.751 0.538 0.351
30 O 0.764 0.107 0.920
31 O 0.798 0.952 0.606
32 O 0.852 0.037 0.248
33 O 0.863 0.682 0.465
34 O 0.920 0.764 0.107
35 O 0.952 0.606 0.798
36 O 0.965 0.182 0.362

The 10 most intense peaks (2θ = 15–90°), sorted by position:
- 2θ = 20.57°, rel. 86.3
- 2θ = 24.43°, rel. 100.0
- 2θ = 25.37°, rel. 15.6
- 2θ = 31.97°, rel. 15.3
- 2θ = 33.56°, rel. 72.1
- 2θ = 36.03°, rel. 41.3
- 2θ = 48.06°, rel. 28.7
- 2θ = 50.06°, rel. 28.3
- 2θ = 56.39°, rel. 23.8
- 2θ = 63.21°, rel. 22.8



Record 4
# CrFe3Sb2P6O24
Computed X-ray diffraction stick pattern, copper Kα. Input: a cell relaxed with PBE+U.

Crystal structure
Cell lengths 8.844, 8.844, 8.844 Å; angles 58.72, 58.72, 58.72 degrees
Positions (direct):
1 Cr 0.000 0.000 0.000
2 Fe 0.205 0.205 0.205
3 Fe 0.504 0.504 0.504
4 Fe 0.705 0.705 0.705
5 Sb 0.355 0.355 0.355
6 Sb 0.852 0.852 0.852
7 P 0.105 0.392 0.815
8 P 0.314 0.896 0.605
9 P 0.392 0.815 0.105
10 P 0.605 0.314 0.896
11 P 0.815 0.105 0.392
12 P 0.896 0.605 0.314
13 O 0.054 0.237 0.846
14 O 0.088 0.437 0.294
15 O 0.122 0.916 0.773
16 O 0.157 0.362 0.971
17 O 0.237 0.846 0.054
18 O 0.271 0.415 0.621
19 O 0.294 0.088 0.437
20 O 0.346 0.738 0.554
21 O 0.362 0.971 0.157
22 O 0.415 0.621 0.271
23 O 0.437 0.294 0.088
24 O 0.472 0.862 0.657
25 O 0.554 0.346 0.738
26 O 0.588 0.795 0.937
27 O 0.621 0.271 0.415
28 O 0.657 0.472 0.862
29 O 0.738 0.554 0.346
30 O 0.773 0.122 0.916
31 O 0.795 0.937 0.588
32 O 0.846 0.054 0.237
33 O 0.862 0.657 0.472
34 O 0.916 0.773 0.122
35 O 0.937 0.588 0.795
36 O 0.971 0.157 0.362

The 10 most intense peaks (2θ = 15–90°), sorted by position:
- 2θ = 20.48°, rel. 100.0
- 2θ = 23.88°, rel. 59.6
- 2θ = 25.07°, rel. 25.9
- 2θ = 32.08°, rel. 92.2
- 2θ = 32.59°, rel. 17.2
- 2θ = 35.87°, rel. 37.2
- 2θ = 46.10°, rel. 27.2
- 2θ = 48.88°, rel. 32.8
- 2θ = 56.12°, rel. 24.1
- 2θ = 62.10°, rel. 24.1



Copy entry 1 word for word.
# CrFeP2O8
Computed X-ray diffraction stick pattern, copper Kα. Input: a cell relaxed with PBE+U.

Crystal structure
Cell lengths 8.394, 8.394, 8.394 Å; angles 61.67, 61.67, 61.67 degrees
Positions (direct):
1 Cr 0.000 0.000 0.000
2 Cr 0.143 0.143 0.143
3 Cr 0.502 0.502 0.502
4 Fe 0.354 0.354 0.354
5 Fe 0.648 0.648 0.648
6 Fe 0.855 0.855 0.855
7 P 0.051 0.751 0.453
8 P 0.251 0.547 0.953
9 P 0.453 0.051 0.751
10 P 0.547 0.953 0.251
11 P 0.751 0.453 0.051
12 P 0.953 0.251 0.547
13 O 0.007 0.826 0.607
14 O 0.064 0.908 0.249
15 O 0.095 0.751 0.941
16 O 0.107 0.326 0.507
17 O 0.181 0.391 0.994
18 O 0.249 0.064 0.908
19 O 0.254 0.596 0.439
20 O 0.326 0.507 0.107
21 O 0.391 0.994 0.181
22 O 0.407 0.564 0.749
23 O 0.439 0.254 0.596
24 O 0.493 0.896 0.679
25 O 0.507 0.107 0.326
26 O 0.564 0.749 0.407
27 O 0.596 0.439 0.254
28 O 0.607 0.007 0.826
29 O 0.679 0.493 0.896
30 O 0.749 0.407 0.564
31 O 0.751 0.941 0.095
32 O 0.826 0.607 0.007
33 O 0.896 0.679 0.493
34 O 0.908 0.249 0.064
35 O 0.941 0.095 0.751
36 O 0.994 0.181 0.391

The 10 most intense peaks (2θ = 15–90°), sorted by position:
- 2θ = 20.64°, rel. 80.4
- 2θ = 24.52°, rel. 100.0
- 2θ = 25.46°, rel. 13.4
- 2θ = 32.08°, rel. 14.9
- 2θ = 33.70°, rel. 67.9
- 2θ = 36.16°, rel. 39.9
- 2θ = 48.28°, rel. 26.1
- 2θ = 50.26°, rel. 27.0
- 2θ = 56.59°, rel. 21.9
- 2θ = 63.47°, rel. 22.2